(1)
Starting from DFT lattice parameters and positions (PBE), the PXRD pattern of Sr2HgIrC was calculated for Cu Kα.

Structure:
```
data_Sr2HgIrC
_symmetry_space_group_name_H-M 'P 4/m m m'
_symmetry_Int_Tables_number 123
_symmetry_space_group_name_Hall '-P 4 2'
_cell_length_a 5.5767
_cell_length_b 5.5767
_cell_length_c 3.8948
_cell_angle_alpha 90.00
_cell_angle_beta 90.00
_cell_angle_gamma 90.00
loop_
_atom_site_label
_atom_site_fract_x
_atom_site_fract_y
_atom_site_fract_z
Sr1 0.0000 0.5000 0.0000
Hg1 0.0000 0.0000 0.5000
Ir1 0.5000 0.5000 0.5000
C1 0.5000 0.5000 0.0000
```

Main lines, by angle (2θ = 10–90°):
22.55 deg, intensity 19.5; 32.10 deg, intensity 55.0; 32.31 deg, intensity 100.0; 46.03 deg, intensity 20.2; 46.64 deg, intensity 9.7; 57.35 deg, intensity 39.7; 57.74 deg, intensity 20.6; 67.62 deg, intensity 12.9

(2)
Starting from DFT lattice parameters and positions (PBE), the PXRD pattern of CaBeIn2Au5 was calculated for Cu Kα.

Structure:
```
data_CaBeIn2Au5
_symmetry_space_group_name_H-M 'I m m m'
_symmetry_Int_Tables_number 71
_symmetry_space_group_name_Hall '-I 2 2'
_cell_length_a 4.6132
_cell_length_b 6.3585
_cell_length_c 13.3326
_cell_angle_alpha 90.00
_cell_angle_beta 90.00
_cell_angle_gamma 90.00
loop_
_atom_site_label
_atom_site_fract_x
_atom_site_fract_y
_atom_site_fract_z
Ca1 0.0000 0.0000 0.0000
Be1 0.0000 0.0000 0.5000
In1 0.0000 0.5000 0.2062
Au1 0.0000 0.2695 0.3827
Au2 0.0000 0.5000 0.0000
```

Main lines, by angle (2θ = 10–90°):
20.37 deg, intensity 19.7; 23.83 deg, intensity 38.5; 27.88 deg, intensity 32.5; 34.93 deg, intensity 96.1; 39.03 deg, intensity 100.0; 39.16 deg, intensity 57.4; 56.50 deg, intensity 39.6; 72.16 deg, intensity 28.5

(3)
Starting from DFT lattice parameters and positions (PBE), the PXRD pattern of Li4Zn5Ru2 was calculated for Cu Kα.

Structure:
```
data_Li4Zn5Ru2
_symmetry_space_group_name_H-M 'C 1 2/m 1'
_symmetry_Int_Tables_number 12
_symmetry_space_group_name_Hall '-C 2y'
_cell_length_a 8.8478
_cell_length_b 5.3166
_cell_length_c 6.8125
_cell_angle_alpha 90.00
_cell_angle_beta 94.04
_cell_angle_gamma 90.00
loop_
_atom_site_label
_atom_site_fract_x
_atom_site_fract_y
_atom_site_fract_z
Li1 0.1306 0.0000 0.3634
Li2 0.1824 0.0000 0.0129
Zn1 0.0000 0.5000 0.0000
Zn2 0.1167 0.2547 0.6838
Ru1 0.1399 0.5000 0.3447
```

Main lines, by angle (2θ = 10–90°):
13.03 deg, intensity 75.4; 19.49 deg, intensity 97.0; 36.56 deg, intensity 31.3; 39.79 deg, intensity 61.9; 41.36 deg, intensity 100.0; 42.32 deg, intensity 37.2; 44.02 deg, intensity 40.0; 48.96 deg, intensity 54.1